# AcSmPu2O8
Simulated powder X-ray diffraction pattern, Cu Ka. Input: a GGA-PBE-relaxed structure.
Peak positions follow from Bragg's law for the DFT cell and can differ from measured ones.

Structural model:
Lattice parameters (Å, degrees): 6.544 6.544 6.544 108.87 108.87 110.68
Positions (direct):
1 Ac 0.000 0.000 0.000
2 Sm 0.750 0.250 0.500
3 Pu 0.250 0.750 0.500
4 Pu 0.500 0.500 0.000
5 O 0.046 0.372 0.327
6 O 0.046 0.719 0.673
7 O 0.120 0.307 0.813
8 O 0.281 0.954 0.327
9 O 0.493 0.307 0.187
10 O 0.628 0.954 0.673
11 O 0.693 0.507 0.813
12 O 0.693 0.880 0.187

Largest 10 diffraction maxima, in order of falling intensity, 2θ = 10–90°:
2θ 23.37, 3.806 Å, intensity 100
2θ 29.17, 3.061 Å, intensity 97
2θ 44.84, 2.021 Å, intensity 73
2θ 33.29, 2.691 Å, intensity 31
2θ 56.98, 1.616 Å, intensity 21
2θ 54.92, 1.672 Å, intensity 20
2θ 67.61, 1.386 Å, intensity 19
2θ 53.86, 1.702 Å, intensity 18
2θ 47.79, 1.903 Å, intensity 16
2θ 75.73, 1.256 Å, intensity 15


# Ac2TbPuO6
Simulated powder X-ray diffraction pattern, Cu Ka. Input: a GGA-PBE-relaxed structure.
Peak positions follow from Bragg's law for the DFT cell and can differ from measured ones.

Structural model:
Lattice parameters (Å, degrees): 6.089 6.295 10.680 90.00 124.57 90.00
Positions (direct):
1 Ac 0.231 0.050 0.246
2 Ac 0.231 0.450 0.746
3 Ac 0.769 0.550 0.254
4 Ac 0.769 0.950 0.754
5 Tb 0.500 0.000 0.000
6 Tb 0.500 0.500 0.500
7 Pu 0.000 0.000 0.500
8 Pu 0.000 0.500 0.000
9 O 0.135 0.194 0.939
10 O 0.135 0.306 0.439
11 O 0.231 0.703 0.928
12 O 0.231 0.797 0.428
13 O 0.379 0.060 0.754
14 O 0.379 0.440 0.254
15 O 0.621 0.560 0.746
16 O 0.621 0.940 0.246
17 O 0.769 0.203 0.572
18 O 0.769 0.297 0.072
19 O 0.865 0.694 0.561
20 O 0.865 0.806 0.061

Largest 10 diffraction maxima, in order of falling intensity, 2θ = 10–90°:
2θ 28.78, 3.102 Å, intensity 100
2θ 29.34, 3.044 Å, intensity 23
2θ 28.35, 3.148 Å, intensity 22
2θ 41.26, 2.188 Å, intensity 19
2θ 50.47, 1.808 Å, intensity 15
2θ 41.05, 2.199 Å, intensity 12
2θ 51.75, 1.766 Å, intensity 11
2θ 51.62, 1.771 Å, intensity 11
2θ 50.65, 1.802 Å, intensity 11
2θ 59.69, 1.549 Å, intensity 8


# Ac2PuThO8
Simulated powder X-ray diffraction pattern, Cu Ka. Input: a GGA-PBE-relaxed structure.
Peak positions follow from Bragg's law for the DFT cell and can differ from measured ones.

Structural model:
Lattice parameters (Å, degrees): 4.120 7.840 5.796 90.00 95.32 90.00
Positions (direct):
1 Ac 0.000 0.249 0.000
2 Ac 0.000 0.751 0.000
3 Pu 0.500 0.000 0.500
4 Th 0.500 0.500 0.500
5 O 0.021 0.500 0.261
6 O 0.086 0.000 0.294
7 O 0.456 0.229 0.724
8 O 0.456 0.771 0.724
9 O 0.544 0.229 0.276
10 O 0.544 0.771 0.276
11 O 0.914 0.000 0.706
12 O 0.979 0.500 0.739

Largest 10 diffraction maxima, in order of falling intensity, 2θ = 10–90°:
2θ 27.51, 3.243 Å, intensity 100
2θ 25.45, 3.500 Å, intensity 61
2θ 31.57, 2.834 Å, intensity 52
2θ 27.83, 3.206 Å, intensity 48
2θ 46.32, 1.960 Å, intensity 46
2θ 43.29, 2.090 Å, intensity 39
2θ 30.99, 2.885 Å, intensity 27
2θ 51.46, 1.776 Å, intensity 18
2θ 44.16, 2.051 Å, intensity 18
2θ 53.03, 1.727 Å, intensity 17


# Ac2PuTiO6
Simulated powder X-ray diffraction pattern, Cu Ka. Input: a GGA-PBE-relaxed structure.
Peak positions follow from Bragg's law for the DFT cell and can differ from measured ones.

Structural model:
Lattice parameters (Å, degrees): 4.225 4.225 8.517 90.00 90.00 90.00
Positions (direct):
1 Ac 0.000 0.000 0.219
2 Ac 0.000 0.000 0.781
3 Pu 0.500 0.500 0.500
4 Ti 0.500 0.500 0.000
5 O 0.000 0.500 0.000
6 O 0.000 0.500 0.500
7 O 0.500 0.000 0.000
8 O 0.500 0.000 0.500
9 O 0.500 0.500 0.231
10 O 0.500 0.500 0.769

Largest 10 diffraction maxima, in order of falling intensity, 2θ = 10–90°:
2θ 29.79, 2.999 Å, intensity 100
2θ 29.91, 2.987 Å, intensity 54
2θ 53.02, 1.727 Å, intensity 42
2θ 42.81, 2.112 Å, intensity 29
2θ 23.51, 3.785 Å, intensity 29
2θ 70.45, 1.337 Å, intensity 19
2θ 44.00, 2.058 Å, intensity 16
2θ 52.80, 1.734 Å, intensity 15
2θ 61.87, 1.500 Å, intensity 14
2θ 86.06, 1.130 Å, intensity 11


# AcPu2TiO8
Simulated powder X-ray diffraction pattern, Cu Ka. Input: a GGA-PBE-relaxed structure.
Peak positions follow from Bragg's law for the DFT cell and can differ from measured ones.

Structural model:
Lattice parameters (Å, degrees): 5.067 5.067 7.000 90.00 90.00 92.30
Positions (direct):
1 Ac 0.000 0.000 0.000
2 Pu 0.500 0.500 0.263
3 Pu 0.500 0.500 0.737
4 Ti 0.000 0.000 0.500
5 O 0.192 0.192 0.296
6 O 0.192 0.192 0.704
7 O 0.301 0.699 0.500
8 O 0.332 0.668 0.000
9 O 0.668 0.332 0.000
10 O 0.699 0.301 0.500
11 O 0.808 0.808 0.296
12 O 0.808 0.808 0.704

Largest 10 diffraction maxima, in order of falling intensity, 2θ = 10–90°:
2θ 31.06, 2.879 Å, intensity 100
2θ 24.36, 3.654 Å, intensity 57
2θ 25.38, 3.510 Å, intensity 54
2θ 47.27, 1.923 Å, intensity 40
2θ 35.47, 2.531 Å, intensity 38
2θ 48.42, 1.880 Å, intensity 36
2θ 60.95, 1.520 Å, intensity 22
2θ 21.66, 4.102 Å, intensity 20
2θ 17.52, 5.063 Å, intensity 17
2θ 64.77, 1.439 Å, intensity 13


# AcPuTlO6
Simulated powder X-ray diffraction pattern, Cu Ka. Input: a GGA-PBE-relaxed structure.
Peak positions follow from Bragg's law for the DFT cell and can differ from measured ones.

Structural model:
Lattice parameters (Å, degrees): 5.731 5.731 10.739 90.00 90.00 120.00
Positions (direct):
1 Ac 0.000 0.000 0.000
2 Ac 0.000 0.000 0.500
3 Pu 0.333 0.667 0.250
4 Pu 0.667 0.333 0.750
5 Tl 0.333 0.667 0.750
6 Tl 0.667 0.333 0.250
7 O 0.031 0.372 0.140
8 O 0.031 0.659 0.360
9 O 0.341 0.372 0.360
10 O 0.341 0.969 0.140
11 O 0.372 0.031 0.640
12 O 0.372 0.341 0.860
13 O 0.628 0.659 0.140
14 O 0.628 0.969 0.360
15 O 0.659 0.031 0.860
16 O 0.659 0.628 0.640
17 O 0.969 0.341 0.640
18 O 0.969 0.628 0.860

Largest 10 diffraction maxima, in order of falling intensity, 2θ = 10–90°:
2θ 24.42, 3.645 Å, intensity 100
2θ 31.21, 2.866 Å, intensity 52
2θ 46.34, 1.959 Å, intensity 47
2θ 40.02, 2.253 Å, intensity 28
2θ 51.61, 1.771 Å, intensity 27
2θ 55.55, 1.654 Å, intensity 15
2θ 33.37, 2.685 Å, intensity 12
2θ 66.37, 1.408 Å, intensity 12
2θ 16.51, 5.369 Å, intensity 12
2θ 54.50, 1.684 Å, intensity 11


# AcTm2PuO8
Simulated powder X-ray diffraction pattern, Cu Ka. Input: a GGA-PBE-relaxed structure.
Peak positions follow from Bragg's law for the DFT cell and can differ from measured ones.

Structural model:
Lattice parameters (Å, degrees): 5.115 7.223 5.124 90.00 91.23 90.00
Positions (direct):
1 Ac 0.000 0.000 0.000
2 Tm 0.500 0.241 0.500
3 Tm 0.500 0.759 0.500
4 Pu 0.000 0.500 0.000
5 O 0.192 0.293 0.193
6 O 0.192 0.707 0.193
7 O 0.275 0.500 0.726
8 O 0.326 0.000 0.676
9 O 0.674 0.000 0.324
10 O 0.725 0.500 0.274
11 O 0.808 0.293 0.807
12 O 0.808 0.707 0.807

Largest 10 diffraction maxima, in order of falling intensity, 2θ = 10–90°:
2θ 30.29, 2.951 Å, intensity 100
2θ 24.33, 3.659 Å, intensity 51
2θ 24.86, 3.581 Å, intensity 48
2θ 46.69, 1.945 Å, intensity 37
2θ 47.30, 1.922 Å, intensity 36
2θ 35.06, 2.559 Å, intensity 29
2θ 63.00, 1.475 Å, intensity 12
2θ 57.13, 1.612 Å, intensity 10
2θ 59.91, 1.544 Å, intensity 10
2θ 60.02, 1.541 Å, intensity 10


# AcPu2UO8
Simulated powder X-ray diffraction pattern, Cu Ka. Input: a GGA-PBE-relaxed structure.
Peak positions follow from Bragg's law for the DFT cell and can differ from measured ones.

Structural model:
Lattice parameters (Å, degrees): 4.002 5.505 7.620 90.00 90.00 90.00
Positions (direct):
1 Ac 0.000 0.000 0.000
2 Pu 0.500 0.500 0.255
3 Pu 0.500 0.500 0.745
4 U 0.000 0.000 0.500
5 O 0.000 0.251 0.280
6 O 0.000 0.251 0.720
7 O 0.000 0.749 0.280
8 O 0.000 0.749 0.720
9 O 0.500 0.237 0.500
10 O 0.500 0.273 0.000
11 O 0.500 0.727 0.000
12 O 0.500 0.763 0.500

Largest 10 diffraction maxima, in order of falling intensity, 2θ = 10–90°:
2θ 27.55, 3.237 Å, intensity 100
2θ 28.49, 3.133 Å, intensity 91
2θ 32.47, 2.757 Å, intensity 72
2θ 46.60, 1.949 Å, intensity 62
2θ 54.41, 1.686 Å, intensity 32
2θ 56.01, 1.642 Å, intensity 29
2θ 45.32, 2.001 Å, intensity 17
2θ 55.05, 1.668 Å, intensity 15
2θ 55.59, 1.653 Å, intensity 15
2θ 47.74, 1.905 Å, intensity 14


# AcYPu2O8
Simulated powder X-ray diffraction pattern, Cu Ka. Input: a GGA-PBE-relaxed structure.
Peak positions follow from Bragg's law for the DFT cell and can differ from measured ones.

Structural model:
Lattice parameters (Å, degrees): 6.497 6.497 6.497 108.99 108.99 110.44
Positions (direct):
1 Ac 0.000 0.000 0.000
2 Y 0.250 0.750 0.500
3 Pu 0.500 0.500 0.000
4 Pu 0.750 0.250 0.500
5 O 0.308 0.117 0.809
6 O 0.308 0.499 0.191
7 O 0.371 0.044 0.327
8 O 0.501 0.692 0.809
9 O 0.716 0.044 0.673
10 O 0.883 0.692 0.191
11 O 0.956 0.284 0.327
12 O 0.956 0.629 0.673

Largest 10 diffraction maxima, in order of falling intensity, 2θ = 10–90°:
2θ 23.58, 3.773 Å, intensity 100
2θ 29.34, 3.044 Å, intensity 96
2θ 45.19, 2.006 Å, intensity 73
2θ 33.59, 2.668 Å, intensity 30
2θ 57.47, 1.603 Å, intensity 21
2θ 55.23, 1.663 Å, intensity 20
2θ 68.24, 1.374 Å, intensity 18
2θ 54.37, 1.687 Å, intensity 18
2θ 48.24, 1.887 Å, intensity 16
2θ 76.33, 1.248 Å, intensity 15


# Rb2AcRhO4
Simulated powder X-ray diffraction pattern, Cu Ka. Input: a GGA-PBE-relaxed structure.
Peak positions follow from Bragg's law for the DFT cell and can differ from measured ones.

Structural model:
Lattice parameters (Å, degrees): 5.929 5.929 5.929 113.47 113.47 101.74
Positions (direct):
1 Rb 0.000 0.000 0.000
2 Rb 0.750 0.250 0.500
3 Ac 0.500 0.500 0.000
4 Rh 0.250 0.750 0.500
5 O 0.138 0.053 0.600
6 O 0.453 0.538 0.400
7 O 0.462 0.862 0.915
8 O 0.947 0.547 0.085

Largest 10 diffraction maxima, in order of falling intensity, 2θ = 10–90°:
2θ 30.80, 2.903 Å, intensity 100
2θ 27.42, 3.252 Å, intensity 55
2θ 50.64, 1.803 Å, intensity 51
2θ 18.07, 4.909 Å, intensity 29
2θ 39.17, 2.300 Å, intensity 29
2θ 56.77, 1.622 Å, intensity 17
2θ 79.36, 1.207 Å, intensity 13
2θ 64.01, 1.455 Å, intensity 13
2θ 64.17, 1.451 Å, intensity 13
2θ 84.34, 1.148 Å, intensity 12


# RbAcRhO3
Simulated powder X-ray diffraction pattern, Cu Ka. Input: a GGA-PBE-relaxed structure.
Peak positions follow from Bragg's law for the DFT cell and can differ from measured ones.

Structural model:
Lattice parameters (Å, degrees): 7.300 7.300 8.183 105.17 105.17 31.30
Positions (direct):
1 Rb 0.139 0.139 0.061
2 Rb 0.861 0.861 0.939
3 Ac 0.152 0.152 0.582
4 Ac 0.848 0.848 0.418
5 Rh 0.493 0.493 0.709
6 Rh 0.507 0.507 0.291
7 O 0.008 0.008 0.295
8 O 0.334 0.334 0.625
9 O 0.352 0.352 0.223
10 O 0.648 0.648 0.777
11 O 0.666 0.666 0.375
12 O 0.992 0.992 0.705

Largest 10 diffraction maxima, in order of falling intensity, 2θ = 10–90°:
2θ 31.53, 2.837 Å, intensity 100
2θ 30.13, 2.966 Å, intensity 76
2θ 11.24, 7.875 Å, intensity 72
2θ 29.18, 3.061 Å, intensity 46
2θ 29.78, 3.000 Å, intensity 46
2θ 40.00, 2.254 Å, intensity 27
2θ 46.10, 1.969 Å, intensity 22
2θ 55.86, 1.646 Å, intensity 18
2θ 44.28, 2.045 Å, intensity 17
2θ 52.16, 1.753 Å, intensity 17


# RbAcSO4
Simulated powder X-ray diffraction pattern, Cu Ka. Input: a GGA-PBE-relaxed structure.
Peak positions follow from Bragg's law for the DFT cell and can differ from measured ones.

Structural model:
Lattice parameters (Å, degrees): 6.759 6.759 6.759 60.00 60.00 60.00
Positions (direct):
1 Rb 0.000 0.000 0.000
2 Ac 0.750 0.750 0.750
3 S 0.500 0.500 0.500
4 O 0.173 0.609 0.609
5 O 0.609 0.173 0.609
6 O 0.609 0.609 0.173
7 O 0.609 0.609 0.609

Largest 10 diffraction maxima, in order of falling intensity, 2θ = 10–90°:
2θ 16.06, 5.519 Å, intensity 100
2θ 26.37, 3.380 Å, intensity 98
2θ 31.03, 2.882 Å, intensity 47
2θ 46.54, 1.951 Å, intensity 41
2θ 41.16, 2.193 Å, intensity 33
2θ 56.99, 1.616 Å, intensity 22
2θ 74.24, 1.277 Å, intensity 22
2θ 49.55, 1.840 Å, intensity 20
2θ 61.34, 1.511 Å, intensity 17
2θ 54.29, 1.690 Å, intensity 17